This entry pairs a crystal structure of Sm4Se3Br with its simulated X-ray diffraction stick pattern. Radiation: Cu Kα. Structure: DFT lattice parameters and positions (PBE).
Neutral-atom scattering factors, no anomalous dispersion.

Main lines, in order of rising 2θ (2θ from 10° to 90°):
2θ = 26.37°, I = 13
2θ = 30.02°, I = 100
2θ = 41.80°, I = 34
2θ = 44.12°, I = 37
2θ = 54.28°, I = 19
2θ = 72.44°, I = 16

Crystal structure
a = 14.708 Å, b = 14.708 Å, c = 14.708 Å
α = 16.05°, β = 16.05°, γ = 16.05°
Element x y z (fractional)
Sm: 0.117 0.117 0.117
Sm: 0.375 0.375 0.375
Sm: 0.625 0.625 0.625
Sm: 0.883 0.883 0.883
Se: 0.000 0.000 0.000
Se: 0.253 0.253 0.253
Se: 0.747 0.747 0.747
Br: 0.500 0.500 0.500